1.
LaPrBr2N: computed X-ray powder pattern (Cu Kα (weighted mean of Kα1 and Kα2)), based on a crystal structure in OQMD, relaxed with PBE.

Structural model:
a b c (Å): 3.8774 3.8774 10.4921
angles (deg): 90.00 90.00 120.00
Space group P3m1 (No. 156)
Unique sites:
La 0.0000 0.0000 0.0000 x1
Pr 0.3333 0.6667 0.7345 x1
Br 0.0000 0.0000 0.5430 x1
Br 0.3333 0.6667 0.1951 x1
N 0.6667 0.3333 0.8666 x1

Largest 8 diffraction maxima, in order of rising 2θ, 15 to 90 degrees two-theta:
| two_theta | I/Imax |
| --- | --- |
| 26.5 | 25.5 |
| 31.6 | 100.0 |
| 37.1 | 14.0 |
| 43.8 | 19.4 |
| 46.9 | 25.8 |
| 57.6 | 17.7 |
| 59.3 | 12.5 |
| 77.4 | 14.9 |

=====

2.
LaNdBr6: computed X-ray powder pattern (Cu Kα (weighted mean of Kα1 and Kα2)), based on a crystal structure in OQMD, relaxed with PBE.

Structural model:
a b c (Å): 8.0175 8.0175 4.4418
angles (deg): 90.00 90.00 120.00
Space group P-6 (No. 174)
Unique sites:
La 0.0000 0.0000 0.0000 x1
Nd 0.3333 0.6667 0.5000 x1
Br 0.0552 0.4226 0.0000 x3
Br 0.2820 0.2492 0.5000 x3

Largest 8 diffraction maxima, in order of rising 2θ, 15 to 90 degrees two-theta:
| two_theta | I/Imax |
| --- | --- |
| 30.0 | 70.1 |
| 32.7 | 100.0 |
| 34.2 | 33.3 |
| 38.9 | 36.2 |
| 39.9 | 59.9 |
| 40.6 | 26.4 |
| 57.5 | 22.8 |
| 61.9 | 37.0 |

=====

3.
LaNdBrO: computed X-ray powder pattern (Cu Kα (weighted mean of Kα1 and Kα2)), based on a crystal structure in OQMD, relaxed with PBE.

Structural model:
a b c (Å): 3.7158 3.7158 14.7261
angles (deg): 90.00 90.00 120.00
Space group P-3m1 (No. 164)
Unique sites:
La 0.3333 0.6667 0.4049 x2
Nd 0.3333 0.6667 0.0894 x2
Br 0.3333 0.6667 0.7560 x2
O 0.0000 0.0000 0.0000 x1
O 0.0000 0.0000 0.5000 x1

Largest 8 diffraction maxima, in order of rising 2θ, 15 to 90 degrees two-theta:
| two_theta | I/Imax |
| --- | --- |
| 27.7 | 22.6 |
| 33.3 | 100.0 |
| 36.6 | 14.3 |
| 46.5 | 14.2 |
| 49.0 | 24.8 |
| 60.6 | 17.6 |
| 62.7 | 18.0 |
| 81.5 | 15.1 |

=====

4.
LaNdBrO: computed X-ray powder pattern (Cu Kα (weighted mean of Kα1 and Kα2)), based on a crystal structure in OQMD, relaxed with PBE.

Structural model:
a b c (Å): 3.7115 3.7115 14.7532
angles (deg): 90.00 90.00 120.00
Space group P-6m2 (No. 187)
Unique sites:
La 0.0000 0.0000 0.1604 x2
Nd 0.6667 0.3333 0.3455 x2
Br 0.0000 0.0000 0.5000 x1
Br 0.6667 0.3333 0.0000 x1
O 0.3333 0.6667 0.2549 x2

Largest 8 diffraction maxima, in order of rising 2θ, 15 to 90 degrees two-theta:
| two_theta | I/Imax |
| --- | --- |
| 27.8 | 22.6 |
| 33.3 | 100.0 |
| 36.5 | 14.5 |
| 46.5 | 14.2 |
| 49.1 | 24.7 |
| 60.6 | 17.6 |
| 62.7 | 18.1 |
| 81.6 | 15.1 |

=====

5.
LaNd3P2Br2: computed X-ray powder pattern (Cu Kα (weighted mean of Kα1 and Kα2)), based on a crystal structure in OQMD, relaxed with PBE.

Structural model:
a b c (Å): 4.1402 4.1402 14.8824
angles (deg): 90.00 90.00 120.00
Space group P3m1 (No. 156)
Unique sites:
La 0.0000 0.0000 0.0000 x1
Nd 0.0000 0.0000 0.2977 x1
Nd 0.6667 0.3333 0.4987 x1
Nd 0.6667 0.3333 0.7927 x1
P 0.3333 0.6667 0.3983 x1
P 0.3333 0.6667 0.8933 x1
Br 0.0000 0.0000 0.6457 x1
Br 0.6667 0.3333 0.1524 x1

Largest 8 diffraction maxima, in order of rising 2θ, 15 to 90 degrees two-theta:
| two_theta | I/Imax |
| --- | --- |
| 24.8 | 21.7 |
| 25.6 | 10.1 |
| 30.8 | 100.0 |
| 43.7 | 32.6 |
| 44.4 | 12.6 |
| 54.4 | 19.8 |
| 58.0 | 12.8 |
| 72.3 | 16.9 |

=====

6.
La3NdP2Br2: computed X-ray powder pattern (Cu Kα (weighted mean of Kα1 and Kα2)), based on a crystal structure in OQMD, relaxed with PBE.

Structural model:
a b c (Å): 4.1856 4.1856 15.0292
angles (deg): 90.00 90.00 120.00
Space group P3m1 (No. 156)
Unique sites:
La 0.0000 0.0000 0.0000 x1
La 0.0000 0.0000 0.2965 x1
La 0.6667 0.3333 0.5046 x1
Nd 0.6667 0.3333 0.7979 x1
P 0.3333 0.6667 0.4006 x1
P 0.3333 0.6667 0.8958 x1
Br 0.0000 0.0000 0.6543 x1
Br 0.6667 0.3333 0.1480 x1

Largest 8 diffraction maxima, in order of rising 2θ, 15 to 90 degrees two-theta:
| two_theta | I/Imax |
| --- | --- |
| 24.6 | 21.6 |
| 25.3 | 9.7 |
| 30.4 | 100.0 |
| 43.2 | 33.0 |
| 43.9 | 12.6 |
| 53.8 | 19.9 |
| 57.4 | 12.6 |
| 71.4 | 17.0 |

=====

7.
La3NiBr3: computed X-ray powder pattern (Cu Kα (weighted mean of Kα1 and Kα2)), based on a crystal structure in OQMD, relaxed with PBE.

Structural model:
a b c (Å): 12.3284 12.3284 11.6793
angles (deg): 90.00 90.00 90.00
Space group I4_122 (No. 98)
Unique sites:
La 0.1128 0.6128 0.2500 x8
La 0.1285 0.1339 0.2260 x16
Ni 0.1269 0.1269 0.0000 x8
Br 0.1170 0.1170 0.5000 x8
Br 0.1270 0.6279 0.5128 x16

Largest 8 diffraction maxima, in order of rising 2θ, 15 to 90 degrees two-theta:
| two_theta | I/Imax |
| --- | --- |
| 28.1 | 18.6 |
| 29.0 | 100.0 |
| 30.6 | 38.0 |
| 41.4 | 36.2 |
| 42.7 | 58.4 |
| 52.4 | 31.2 |
| 68.0 | 14.7 |
| 76.4 | 17.8 |

=====

8.
LaNpBr6: computed X-ray powder pattern (Cu Kα (weighted mean of Kα1 and Kα2)), based on a crystal structure in OQMD, relaxed with PBE.

Structural model:
a b c (Å): 7.9872 7.9872 4.4905
angles (deg): 90.00 90.00 120.00
Space group P-6 (No. 174)
Unique sites:
La 0.0000 0.0000 0.0000 x1
Np 0.3333 0.6667 0.5000 x1
Br 0.0568 0.4238 0.0000 x3
Br 0.2822 0.2512 0.5000 x3

Largest 8 diffraction maxima, in order of rising 2θ, 15 to 90 degrees two-theta:
| two_theta | I/Imax |
| --- | --- |
| 23.6 | 28.2 |
| 29.9 | 55.7 |
| 32.7 | 100.0 |
| 34.3 | 27.7 |
| 39.1 | 36.9 |
| 39.9 | 68.7 |
| 40.2 | 25.0 |
| 62.0 | 35.8 |

=====

9.
LaPrBrO: computed X-ray powder pattern (Cu Kα (weighted mean of Kα1 and Kα2)), based on a crystal structure in OQMD, relaxed with PBE.

Structural model:
a b c (Å): 3.7229 3.7229 14.8356
angles (deg): 90.00 90.00 120.00
Space group P-6m2 (No. 187)
Unique sites:
La 0.0000 0.0000 0.1584 x2
Pr 0.6667 0.3333 0.3440 x2
Br 0.0000 0.0000 0.5000 x1
Br 0.6667 0.3333 0.0000 x1
O 0.3333 0.6667 0.2497 x2

Largest 8 diffraction maxima, in order of rising 2θ, 15 to 90 degrees two-theta:
| two_theta | I/Imax |
| --- | --- |
| 27.7 | 22.4 |
| 33.2 | 100.0 |
| 36.3 | 14.5 |
| 46.3 | 14.3 |
| 48.9 | 24.6 |
| 60.4 | 17.6 |
| 62.4 | 18.2 |
| 81.3 | 15.1 |

=====

10.
LaTbBr2O2: computed X-ray powder pattern (Cu Kα (weighted mean of Kα1 and Kα2)), based on a crystal structure in OQMD, relaxed with PBE.

Structural model:
a b c (Å): 3.9388 3.9388 8.3122
angles (deg): 90.00 90.00 90.00
Space group P4mm (No. 99)
Unique sites:
La 0.0000 0.0000 0.0000 x1
Tb 0.5000 0.5000 0.7122 x1
Br 0.0000 0.0000 0.5157 x1
Br 0.5000 0.5000 0.1967 x1
O 0.0000 0.5000 0.8459 x2

Largest 8 diffraction maxima, in order of rising 2θ, 15 to 90 degrees two-theta:
| two_theta | I/Imax |
| --- | --- |
| 25.0 | 7.9 |
| 31.3 | 100.0 |
| 32.1 | 44.3 |
| 38.9 | 8.5 |
| 46.1 | 21.4 |
| 49.6 | 9.8 |
| 55.1 | 16.4 |
| 56.8 | 36.3 |

=====

11.
La4OsBr5: computed X-ray powder pattern (Cu Kα (weighted mean of Kα1 and Kα2)), based on a crystal structure in OQMD, relaxed with PBE.

Structural model:
a b c (Å): 18.8514 4.3001 9.0040
angles (deg): 90.00 105.84 90.00
Space group C2/m (No. 12)
Unique sites:
La 0.0015 0.0000 0.2255 x4
La 0.1473 0.5000 0.0858 x4
Os 0.0000 0.5000 0.0000 x2
Br 0.0000 0.5000 0.5000 x2
Br 0.1707 0.0000 0.3410 x4
Br 0.1717 0.0000 0.8464 x4

Largest 8 diffraction maxima, in order of rising 2θ, 15 to 90 degrees two-theta:
| two_theta | I/Imax |
| --- | --- |
| 23.0 | 12.9 |
| 28.7 | 100.0 |
| 29.6 | 41.9 |
| 40.1 | 18.4 |
| 41.1 | 31.1 |
| 42.0 | 18.3 |
| 42.2 | 32.0 |
| 52.2 | 20.5 |

=====

12.
LaPrBr6: computed X-ray powder pattern (Cu Kα (weighted mean of Kα1 and Kα2)), based on a crystal structure in OQMD, relaxed with PBE.

Structural model:
a b c (Å): 9.2605 4.1954 12.9578
angles (deg): 90.00 90.00 90.00
Space group Amm2 (No. 38)
Unique sites:
La 0.0000 0.0000 0.0000 x2
Pr 0.5000 0.0000 0.5135 x2
Br 0.0000 0.0000 0.3393 x2
Br 0.1861 0.0000 0.6111 x4
Br 0.3162 0.0000 0.9025 x4
Br 0.5000 0.0000 0.1726 x2

Largest 8 diffraction maxima, in order of rising 2θ, 15 to 90 degrees two-theta:
| two_theta | I/Imax |
| --- | --- |
| 29.5 | 34.6 |
| 29.7 | 27.4 |
| 31.3 | 100.0 |
| 32.1 | 41.7 |
| 33.8 | 25.3 |
| 36.8 | 51.8 |
| 43.1 | 25.1 |
| 58.5 | 27.6 |